# 1
Diffraction record for ZrCoIN2. The X-ray diffraction stick pattern is simulated, not measured: it uses a GGA-PBE-relaxed structure and Cu Kα.
Peak positions follow from Bragg's law for the DFT cell and can differ from measured ones.

Largest 12 diffraction maxima, by intensity, 2θ = 10–80°:
hkl 1 1 0, 30.7 deg, 2.913 Å, intensity 100
hkl 1 0 0, 21.6 deg, 4.120 Å, intensity 94
hkl 0 0 2, 28.6 deg, 3.116 Å, intensity 90
hkl 1 1 2, 42.5 deg, 2.128 Å, intensity 82
hkl 2 0 2, 53.3 deg, 1.719 Å, intensity 58
hkl 2 0 0, 44.0 deg, 2.060 Å, intensity 53
hkl 1 0 2, 36.1 deg, 2.486 Å, intensity 49
hkl 1 1 1, 34.0 deg, 2.639 Å, intensity 35
hkl 3 1 2, 79.8 deg, 1.202 Å, intensity 26
hkl 2 2 0, 63.9 deg, 1.457 Å, intensity 26
hkl 2 1 2, 58.2 deg, 1.586 Å, intensity 25
hkl 1 1 4, 68.3 deg, 1.374 Å, intensity 24

Cell lengths 4.1200, 4.1200, 6.2330 Å; angles 90.00, 90.00, 90.00 degrees
Space group P4/mmm (No. 123)
Asymmetric unit:
Zr 0.0000 0.0000 0.0000
Co 0.5000 0.5000 0.5000
I 0.0000 0.0000 0.5000
N 0.0000 0.5000 0.0000

=====

# 2
Diffraction record for NaCo2I. The X-ray diffraction stick pattern is simulated, not measured: it uses a GGA-PBE-relaxed structure and Cu Kα.
Peak positions follow from Bragg's law for the DFT cell and can differ from measured ones.

Largest 12 diffraction maxima, by intensity, 2θ = 10–80°:
hkl 1 0 1, 19.6 deg, 4.540 Å, intensity 100
hkl 2 2 0, 33.2 deg, 2.701 Å, intensity 87
hkl 1 1 2, 35.9 deg, 2.502 Å, intensity 86
hkl 3 1 2, 49.7 deg, 1.835 Å, intensity 55
hkl 3 2 1, 45.7 deg, 1.984 Å, intensity 43
hkl 2 0 4, 71.2 deg, 1.324 Å, intensity 34
hkl 2 1 1, 30.6 deg, 2.923 Å, intensity 31
hkl 4 0 0, 47.6 deg, 1.910 Å, intensity 25
hkl 4 1 1, 51.9 deg, 1.760 Å, intensity 20
hkl 2 1 3, 55.8 deg, 1.648 Å, intensity 14
hkl 3 3 2, 61.0 deg, 1.518 Å, intensity 12
hkl 5 0 1, 63.0 deg, 1.475 Å, intensity 11

Cell lengths 7.6390, 7.6390, 5.6459 Å; angles 90.00, 90.00, 90.00 degrees
Space group I-42d (No. 122)
Asymmetric unit:
Na 0.0000 0.0000 0.0000
Co 0.1911 0.2500 0.6250
I 0.0000 0.0000 0.5000

=====

# 3
Diffraction record for NbCoReI. The X-ray diffraction stick pattern is simulated, not measured: it uses a GGA-PBE-relaxed structure and Cu Kα.
Peak positions follow from Bragg's law for the DFT cell and can differ from measured ones.

Largest 12 diffraction maxima, by intensity, 2θ = 10–80°:
hkl 1 0 4, 32.6 deg, 2.747 Å, intensity 100
hkl 0 1 8, 43.6 deg, 2.077 Å, intensity 80
hkl 1 1 0, 49.8 deg, 1.831 Å, intensity 66
hkl 0 1 2, 29.3 deg, 3.047 Å, intensity 61
hkl 0 0 3, 12.1 deg, 7.329 Å, intensity 43
hkl 0 0 6, 24.3 deg, 3.665 Å, intensity 26
hkl 1 0 1, 28.4 deg, 3.139 Å, intensity 26
hkl 2 0 8, 68.3 deg, 1.374 Å, intensity 21
hkl 1 0 10, 50.5 deg, 1.807 Å, intensity 20
hkl 1 1 12, 73.1 deg, 1.295 Å, intensity 17
hkl 0 2 4, 60.8 deg, 1.524 Å, intensity 17
hkl 1 1 6, 56.2 deg, 1.638 Å, intensity 16

Cell lengths 3.6624, 3.6624, 21.9876 Å; angles 90.00, 90.00, 120.00 degrees
Space group R3m (No. 160, hexagonal axes)
Asymmetric unit:
Nb 0.0000 0.0000 0.0000
Co 0.0000 0.0000 0.1198
Re 0.0000 0.0000 0.7410
I 0.0000 0.0000 0.2367

=====

# 4
Diffraction record for Nd4CoSeI2. The X-ray diffraction stick pattern is simulated, not measured: it uses a GGA-PBE-relaxed structure and Cu Kα.
Peak positions follow from Bragg's law for the DFT cell and can differ from measured ones.

Largest 12 diffraction maxima, by intensity, 2θ = 10–80°:
hkl 1 1 1, 28.9 deg, 3.095 Å, intensity 100
hkl 2 0 -2, 28.1 deg, 3.173 Å, intensity 55
hkl 3 1 -1, 41.7 deg, 2.168 Å, intensity 40
hkl 1 1 -3, 39.8 deg, 2.266 Å, intensity 27
hkl 1 1 -2, 31.4 deg, 2.846 Å, intensity 20
hkl 0 2 0, 44.3 deg, 2.044 Å, intensity 19
hkl 2 2 -2, 53.3 deg, 1.718 Å, intensity 18
hkl 0 0 3, 34.3 deg, 2.617 Å, intensity 17
hkl 2 0 2, 38.0 deg, 2.368 Å, intensity 13
hkl 2 0 1, 29.6 deg, 3.016 Å, intensity 12
hkl 3 1 2, 54.3 deg, 1.690 Å, intensity 12
hkl 1 3 1, 72.1 deg, 1.309 Å, intensity 10

Cell lengths 7.6738, 4.0879, 8.1919 Å; angles 90.00, 106.57, 90.00 degrees
Space group P2/m (No. 10)
Asymmetric unit:
Nd 0.1983 0.0000 0.1835
Nd 0.2476 0.5000 0.8069
Co 0.0000 0.5000 0.0000
Se 0.5000 0.0000 0.0000
I 0.0000 0.0000 0.5000
I 0.5000 0.5000 0.5000

=====

# 5
Diffraction record for Sm8Co3NiI4. The X-ray diffraction stick pattern is simulated, not measured: it uses a GGA-PBE-relaxed structure and Cu Kα.
Peak positions follow from Bragg's law for the DFT cell and can differ from measured ones.

Largest 12 diffraction maxima, by intensity, 2θ = 10–80°:
hkl 2 2 -2, 29.6 deg, 3.023 Å, intensity 100
hkl 2 2 1, 31.6 deg, 2.828 Å, intensity 29
hkl 6 2 -2, 44.9 deg, 2.018 Å, intensity 26
hkl 4 0 -4, 39.5 deg, 2.279 Å, intensity 22
hkl 6 2 1, 57.2 deg, 1.611 Å, intensity 20
hkl 0 0 3, 33.6 deg, 2.670 Å, intensity 15
hkl 0 4 0, 44.8 deg, 2.022 Å, intensity 13
hkl 4 4 0, 54.6 deg, 1.680 Å, intensity 12
hkl 4 0 1, 36.7 deg, 2.450 Å, intensity 11
hkl 2 2 -5, 56.3 deg, 1.634 Å, intensity 10
hkl 8 4 -4, 73.4 deg, 1.290 Å, intensity 9
hkl 4 0 -1, 25.7 deg, 3.461 Å, intensity 8

Cell lengths 13.9696, 8.0882, 9.2664 Å; angles 90.00, 120.17, 90.00 degrees
Space group C2/m (No. 12)
Asymmetric unit:
Sm 0.0249 0.2455 0.3191
Sm 0.2270 0.0000 0.6820
Sm 0.2295 0.5000 0.6807
Co 0.0000 0.0000 0.5000
Co 0.2500 0.2500 0.5000
Ni 0.0000 0.5000 0.5000
I 0.0000 0.0000 0.0000
I 0.0000 0.5000 0.0000
I 0.2500 0.2500 0.0000